CsK2GaF6: theoretical X-ray powder pattern (Cu Ka), based on the GGA-PBE geometry in the Materials Project.

Principal peaks in the range 5 to 70 degrees two-theta, by intensity:
d [Å], I_rel, hkl
3.319, 100, 2 2 0
4.694, 49, 2 0 0
2.347, 41, 4 0 0
1.916, 34, 4 2 2
1.660, 23, 4 4 0
1.484, 22, 6 2 0
2.099, 18, 4 2 0
2.154, 9, 3 3 1

Structure:
```
data_CsK2GaF6
_cell_length_a 9.3881
_cell_length_b 9.3881
_cell_length_c 9.3881
_cell_angle_alpha 90.00
_cell_angle_beta 90.00
_cell_angle_gamma 90.00
_symmetry_space_group_name_H-M 'F m -3 m'
_symmetry_Int_Tables_number 225
_symmetry_space_group_name_Hall '-F 4 2 3'
loop_
_atom_site_label
_atom_site_type_symbol
_atom_site_fract_x
_atom_site_fract_y
_atom_site_fract_z
Cs1 Cs 0.0000 0.0000 0.0000
K1 K 0.2500 0.2500 0.2500
Ga1 Ga 0.0000 0.0000 0.5000
F1 F 0.0000 0.0000 0.2947
```